Computed powder X-ray diffraction pattern
Compound: GaCuO2
Radiation: Cu Kα X-rays
Structure: a DFT-relaxed cell (GGA-PBE, the Materials Project)
No peak broadening, texture or thermal motion is included.

```
GaCuO2
1.0
3.013 0.000 0.000
-1.507 2.610 0.000
0.000 0.000 11.548
Ga Cu O
2 2 4
Direct
0.000 0.000 0.000 Ga
0.000 0.000 0.500 Ga
0.333 0.667 0.250 Cu
0.667 0.333 0.750 Cu
0.333 0.667 0.088 O
0.333 0.667 0.412 O
0.667 0.333 0.588 O
0.667 0.333 0.912 O
```

Most intense lines, 10° ≤ 2θ ≤ 90°, by angle:
- d 2.887, 2θ 30.98, I 42
- d 2.545, 2θ 35.26, I 68
- d 2.378, 2θ 37.83, I 100
- d 1.730, 2θ 52.94, I 17
- d 1.549, 2θ 59.70, I 36
- d 1.507, 2θ 61.55, I 32
- d 1.336, 2θ 70.50, I 23
- d 1.273, 2θ 74.56, I 13

Computed powder X-ray diffraction pattern
Compound: GaCuO2
Radiation: Cu Kα X-rays
Structure: a DFT-relaxed cell (GGA-PBE, the Materials Project)
No peak broadening, texture or thermal motion is included.

```
GaCuO2
1.0
5.513 0.000 0.000
0.000 6.660 0.000
0.000 0.000 5.370
Ga Cu O
4 4 8
Direct
0.080 0.124 0.000 Ga
0.420 0.624 0.500 Ga
0.580 0.376 0.000 Ga
0.920 0.876 0.500 Ga
0.056 0.632 0.002 Cu
0.444 0.132 0.502 Cu
0.556 0.868 0.002 Cu
0.944 0.368 0.502 Cu
0.058 0.103 0.349 O
0.093 0.644 0.402 O
0.407 0.144 0.902 O
0.442 0.603 0.849 O
0.558 0.397 0.349 O
0.593 0.856 0.402 O
0.907 0.356 0.902 O
0.942 0.897 0.849 O
```

Most intense lines, 10° ≤ 2θ ≤ 90°, by angle:
- d 2.850, 2θ 31.38, I 31
- d 2.757, 2θ 32.48, I 33
- d 2.685, 2θ 33.37, I 52
- d 2.518, 2θ 35.66, I 100
- d 2.452, 2θ 36.64, I 30
- d 1.609, 2θ 57.26, I 24
- d 1.516, 2θ 61.13, I 33
- d 1.380, 2θ 67.91, I 21

Computed powder X-ray diffraction pattern
Compound: SrPrGaCuO5
Radiation: Cu Kα X-rays
Structure: a DFT-relaxed cell (GGA-PBE, the Materials Project)
No peak broadening, texture or thermal motion is included.

```
SrPrGaCuO5
1.0
5.374 0.000 0.000
0.011 5.614 0.000
2.630 2.797 8.284
Sr Pr Ga Cu O
2 2 2 2 10
Direct
0.000 0.000 0.000 Sr
0.500 0.467 0.998 Sr
0.293 0.289 0.429 Pr
0.793 0.748 0.430 Pr
0.174 0.688 0.722 Ga
0.676 0.059 0.720 Ga
0.393 0.875 0.220 Cu
0.893 0.370 0.220 Cu
0.017 0.475 0.925 O
0.038 0.010 0.706 O
0.127 0.105 0.255 O
0.147 0.614 0.224 O
0.180 0.638 0.531 O
0.513 0.069 0.923 O
0.538 0.754 0.703 O
0.628 0.106 0.251 O
0.645 0.625 0.226 O
0.692 0.294 0.525 O
```

Most intense lines, 10° ≤ 2θ ≤ 90°, by angle:
- d 8.284, 2θ 10.68, I 38
- d 2.840, 2θ 31.50, I 100
- d 2.825, 2θ 31.67, I 97
- d 2.807, 2θ 31.88, I 56
- d 2.687, 2θ 33.35, I 59
- d 2.071, 2θ 43.71, I 23
- d 1.941, 2θ 46.80, I 51
- d 1.625, 2θ 56.66, I 23

Computed powder X-ray diffraction pattern
Compound: SrPrGaCuO5
Radiation: Cu Kα X-rays
Structure: a DFT-relaxed cell (GGA-PBE, the Materials Project)
No peak broadening, texture or thermal motion is included.

```
SrPrGaCuO5
1.0
3.874 -8.270 0.000
3.874 8.270 0.000
-3.699 0.000 3.876
Sr Pr Ga Cu O
2 2 2 2 10
Direct
0.139 0.861 0.000 Sr
0.861 0.139 0.000 Sr
0.393 0.689 0.045 Pr
0.689 0.393 0.045 Pr
0.078 0.078 0.615 Ga
0.445 0.445 0.472 Ga
0.268 0.768 0.518 Cu
0.768 0.268 0.518 Cu
0.019 0.510 0.017 O
0.027 0.515 0.523 O
0.038 0.842 0.405 O
0.134 0.134 0.021 O
0.396 0.396 0.787 O
0.462 0.663 0.514 O
0.510 0.019 0.017 O
0.515 0.027 0.523 O
0.663 0.462 0.514 O
0.842 0.038 0.405 O
```

Most intense lines, 10° ≤ 2θ ≤ 90°, by angle:
- d 8.270, 2θ 10.70, I 12
- d 2.827, 2θ 31.65, I 100
- d 2.802, 2θ 31.94, I 29
- d 2.679, 2θ 33.45, I 32
- d 2.246, 2θ 40.14, I 25
- d 1.936, 2θ 46.92, I 27
- d 1.623, 2θ 56.74, I 15
- d 1.574, 2θ 58.67, I 19

Computed powder X-ray diffraction pattern
Compound: SrPrGaCuO5
Radiation: Cu Kα X-rays
Structure: a DFT-relaxed cell (GGA-PBE, the Materials Project)
No peak broadening, texture or thermal motion is included.

```
SrPrGaCuO5
1.0
5.831 0.000 0.000
0.138 6.073 0.000
2.617 2.173 7.436
Sr Pr Ga Cu O
2 2 2 2 10
Direct
0.000 0.000 0.000 Sr
0.476 0.645 0.023 Sr
0.305 0.227 0.571 Pr
0.811 0.782 0.524 Pr
0.401 0.068 0.211 Ga
0.876 0.368 0.277 Ga
0.182 0.648 0.741 Cu
0.663 0.289 0.762 Cu
0.004 0.917 0.686 O
0.172 0.834 0.262 O
0.202 0.304 0.277 O
0.327 0.372 0.819 O
0.427 0.863 0.735 O
0.604 0.064 0.991 O
0.653 0.092 0.321 O
0.700 0.424 0.493 O
0.853 0.594 0.090 O
0.984 0.454 0.688 O
```

Most intense lines, 10° ≤ 2θ ≤ 90°, by angle:
- d 3.697, 2θ 24.07, I 33
- d 3.016, 2θ 29.62, I 48
- d 2.965, 2θ 30.14, I 71
- d 2.912, 2θ 30.71, I 78
- d 2.836, 2θ 31.55, I 43
- d 2.710, 2θ 33.05, I 100
- d 2.645, 2θ 33.89, I 55
- d 2.113, 2θ 42.80, I 32

Computed powder X-ray diffraction pattern
Compound: Ga2Cu3Se6O18
Radiation: Cu Kα X-rays
Structure: a DFT-relaxed cell (GGA-PBE, the Materials Project)
No peak broadening, texture or thermal motion is included.

```
Ga2Cu3Se6O18
1.0
12.488 0.000 0.000
0.000 8.323 0.000
-0.793 0.000 7.649
Ga Cu Se O
4 6 12 36
Direct
0.173 0.006 0.365 Ga
0.173 0.494 0.865 Ga
0.827 0.506 0.135 Ga
0.827 0.994 0.635 Ga
0.380 0.623 0.129 Cu
0.380 0.877 0.629 Cu
0.500 0.000 0.000 Cu
0.500 0.500 0.500 Cu
0.620 0.123 0.371 Cu
0.620 0.377 0.871 Cu
0.044 0.197 0.637 Se
0.044 0.303 0.137 Se
0.215 0.597 0.447 Se
0.215 0.903 0.947 Se
0.392 0.188 0.312 Se
0.392 0.312 0.812 Se
0.608 0.688 0.188 Se
0.608 0.812 0.688 Se
0.785 0.097 0.053 Se
0.785 0.403 0.553 Se
0.956 0.697 0.863 Se
0.956 0.803 0.363 Se
0.053 0.610 0.742 O
0.053 0.890 0.242 O
0.113 0.025 0.589 O
0.113 0.475 0.089 O
0.133 0.233 0.309 O
0.133 0.267 0.809 O
0.250 0.698 0.988 O
0.250 0.802 0.488 O
0.253 0.515 0.651 O
0.253 0.985 0.151 O
0.322 0.094 0.465 O
0.322 0.406 0.965 O
0.324 0.532 0.347 O
0.324 0.968 0.847 O
0.484 0.036 0.255 O
0.484 0.464 0.755 O
0.499 0.734 0.543 O
0.499 0.766 0.043 O
0.501 0.234 0.957 O
0.501 0.266 0.457 O
0.516 0.536 0.245 O
0.516 0.964 0.745 O
0.676 0.032 0.153 O
0.676 0.468 0.653 O
0.678 0.594 0.035 O
0.678 0.906 0.535 O
0.747 0.015 0.849 O
0.747 0.485 0.349 O
0.750 0.198 0.512 O
0.750 0.302 0.012 O
0.867 0.733 0.191 O
0.867 0.767 0.691 O
0.887 0.525 0.911 O
0.887 0.975 0.411 O
0.947 0.110 0.758 O
0.947 0.390 0.258 O
```

Most intense lines, 10° ≤ 2θ ≤ 90°, by angle:
- d 3.707, 2θ 24.01, I 44
- d 3.460, 2θ 25.75, I 100
- d 3.431, 2θ 25.97, I 100
- d 2.935, 2θ 30.45, I 30
- d 2.637, 2θ 34.00, I 45
- d 2.542, 2θ 35.30, I 39
- d 2.437, 2θ 36.89, I 49
- d 2.215, 2θ 40.74, I 23